Structure and computed X-ray powder pattern of NaMg4Cd8 (a crystal structure in Alexandria, relaxed with PBE; Cu Kα).
Intensities are scaled so that the largest is 100.

Main lines, most intense first (10° ≤ 2θ ≤ 90°):
d/Å  I (rel.)
2.521  100
2.310  67
2.250  63
3.056  58
3.527  50
2.921  42
2.494  31
1.445  28
5.212  28
1.641  26

Atomic structure:
Lattice parameters (Å, degrees): 9.976 9.976 6.112 90.00 90.00 90.00
Space group I4/mmm (No. 139)
One atom of each set of equivalent atoms:
Na: 0.000 0.000 0.000
Mg: 0.250 0.250 0.250
Cd: 0.000 0.217 0.500
Cd: 0.000 0.345 0.000

Structure and computed X-ray powder pattern of CaTlCu3Se4 (a crystal structure in Alexandria, relaxed with PBE; Cu Kα).
Intensities are scaled so that the largest is 100.

Main lines, most intense first (10° ≤ 2θ ≤ 90°):
d/Å  I (rel.)
2.179  100
6.163  65
3.558  46
1.258  32
4.358  32
2.756  30
1.858  21
2.054  19
1.541  16
2.516  16

Atomic structure:
Lattice parameters (Å, degrees): 6.163 6.163 6.163 90.00 90.00 90.00
Space group P-43m (No. 215)
One atom of each set of equivalent atoms:
Ca: 0.000 0.000 0.000
Tl: 0.500 0.500 0.500
Cu: 0.000 0.500 0.500
Se: 0.257 0.257 0.743

Structure and computed X-ray powder pattern of Sm2ZnHPd6 (a crystal structure in Alexandria, relaxed with PBE; Cu Kα).
Intensities are scaled so that the largest is 100.

Main lines, most intense first (10° ≤ 2θ ≤ 90°):
d/Å  I (rel.)
2.403  100
2.392  50
3.002  45
2.184  43
2.173  41
2.178  41
2.283  30
2.592  27
2.923  16
2.292  15

Atomic structure:
Lattice parameters (Å, degrees): 5.737 5.748 6.845 65.29 65.59 60.21
Space group P-1 (No. 2)
One atom of each set of equivalent atoms:
Sm: 0.227 0.229 0.320
Zn: 0.500 0.500 0.500
H: 0.000 0.000 0.000
Pd: 0.228 0.727 0.814
Pd: 0.230 0.227 0.808
Pd: 0.268 0.775 0.189

Structure and computed X-ray powder pattern of KNa2H6Os (a crystal structure in Alexandria, relaxed with PBE; Cu Kα).
Intensities are scaled so that the largest is 100.

Main lines, most intense first (10° ≤ 2θ ≤ 90°):
d/Å  I (rel.)
2.846  100
4.648  63
4.025  53
1.643  38
2.427  36
1.800  22
2.013  19
1.847  16
1.273  16
2.324  15

Atomic structure:
Lattice parameters (Å, degrees): 8.051 8.051 8.051 90.00 90.00 90.00
Space group Fm-3m (No. 225)
One atom of each set of equivalent atoms:
K: 0.000 0.000 0.000
Na: 0.250 0.250 0.250
H: 0.000 0.000 0.288
Os: 0.000 0.000 0.500

Structure and computed X-ray powder pattern of TiCuRe (a crystal structure in Alexandria, relaxed with PBE; Cu Kα).
Intensities are scaled so that the largest is 100.

Main lines, most intense first (10° ≤ 2θ ≤ 90°):
d/Å  I (rel.)
2.040  100
3.042  72
2.151  59
5.499  45
1.219  36
2.662  32
2.750  28
1.694  27
1.521  19
1.158  15

Atomic structure:
Lattice parameters (Å, degrees): 4.301 4.301 5.499 90.00 90.00 90.00
Space group P4/nmm (No. 129, origin choice 2)
One atom of each set of equivalent atoms:
Ti: 0.250 0.250 0.246
Cu: 0.250 0.750 0.000
Re: 0.250 0.750 0.500

Structure and computed X-ray powder pattern of TbYHo14 (a crystal structure in Alexandria, relaxed with PBE; Cu Kα).
Intensities are scaled so that the largest is 100.

Main lines, most intense first (10° ≤ 2θ ≤ 90°):
d/Å  I (rel.)
2.704  100
2.966  39
2.850  33
1.506  29
1.773  25
2.389  22
1.616  21
1.483  16
1.111  15
1.138  14

Atomic structure:
Lattice parameters (Å, degrees): 11.401 7.094 12.285 90.00 90.00 90.00
Space group Amm2 (No. 38)
One atom of each set of equivalent atoms:
Tb: 0.000 0.000 0.000
Y: 0.000 0.000 0.500
Ho: 0.000 0.250 0.250
Ho: 0.250 0.000 0.167
Ho: 0.251 0.000 0.667
Ho: 0.251 0.250 0.417
Ho: 0.500 0.000 0.334
Ho: 0.500 0.000 0.834
Ho: 0.500 0.250 0.084

Structure and computed X-ray powder pattern of ScTi4Ir5 (a crystal structure in Alexandria, relaxed with PBE; Cu Kα).
Intensities are scaled so that the largest is 100.

Main lines, most intense first (10° ≤ 2θ ≤ 90°):
d/Å  I (rel.)
2.270  100
2.094  41
2.961  39
1.240  28
3.535  28
1.802  18
1.351  16
1.481  13
1.767  10
1.135  10

Atomic structure:
Lattice parameters (Å, degrees): 2.961 2.961 17.674 90.00 90.00 90.00
Space group P4/mmm (No. 123)
One atom of each set of equivalent atoms:
Sc: 0.000 0.000 0.000
Ti: 0.000 0.000 0.203
Ti: 0.000 0.000 0.401
Ir: 0.500 0.500 0.112
Ir: 0.500 0.500 0.302
Ir: 0.500 0.500 0.500

Structure and computed X-ray powder pattern of NaCl2 (a crystal structure in Alexandria, relaxed with PBE; Cu Kα).
Intensities are scaled so that the largest is 100.

Main lines, most intense first (10° ≤ 2θ ≤ 90°):
d/Å  I (rel.)
3.460  100
3.543  65
2.384  58
2.192  45
2.768  44
2.894  38
1.748  32
2.124  32
2.516  32
2.284  25

Atomic structure:
Lattice parameters (Å, degrees): 7.679 7.988 5.016 90.00 90.00 90.00
Space group Pbcm (No. 57)
One atom of each set of equivalent atoms:
Na: 0.225 0.039 0.250
Cl: 0.094 0.120 0.750
Cl: 0.439 0.750 0.000